Diffraction record for LiTm3Rh4. The powder diffraction line list is simulated, not measured: it uses a cell relaxed with PBE and Cu Kα (weighted mean of Kα1 and Kα2).

Main lines, in order of rising 2θ (2θ from 15° to 90°):
2θ 19.05, d 4.659, intensity 6
2θ 23.40, d 3.801, intensity 7
2θ 38.69, d 2.328, intensity 100
2θ 55.81, d 1.647, intensity 11
2θ 70.01, d 1.344, intensity 35
2θ 83.01, d 1.163, intensity 7

Crystal structure
Unit cell a=4.659 b=4.659 c=6.573 alpha=90.00 beta=90.00 gamma=90.00
Fractional positions:
Li: 0.000 0.000 0.000
Tm: 0.000 0.000 0.500
Tm: 0.500 0.500 0.000
Tm: 0.500 0.500 0.500
Rh: 0.000 0.500 0.246
Rh: 0.000 0.500 0.754
Rh: 0.500 0.000 0.246
Rh: 0.500 0.000 0.754



Diffraction record for Mg2Ga5Cu3. The powder diffraction line list is simulated, not measured: it uses a cell relaxed with PBE and Cu Kα (weighted mean of Kα1 and Kα2).

Main lines, in order of rising 2θ (2θ from 15° to 90°):
2θ 34.23, d 2.620, intensity 51
2θ 35.95, d 2.498, intensity 75
2θ 37.25, d 2.414, intensity 67
2θ 43.67, d 2.073, intensity 41
2θ 45.27, d 2.003, intensity 100
2θ 46.48, d 1.954, intensity 84

Crystal structure
Unit cell a=11.907 b=11.907 c=7.005 alpha=90.00 beta=90.00 gamma=160.64
Fractional positions:
Mg: 0.023 0.977 0.500
Mg: 0.320 0.680 0.388
Mg: 0.680 0.320 0.888
Mg: 0.977 0.023 0.000
Ga: 0.097 0.903 0.107
Ga: 0.204 0.796 0.184
Ga: 0.208 0.792 0.577
Ga: 0.378 0.622 0.972
Ga: 0.442 0.558 0.348
Ga: 0.558 0.442 0.848
Ga: 0.622 0.378 0.472
Ga: 0.792 0.208 0.077
Ga: 0.796 0.204 0.684
Ga: 0.903 0.097 0.607
Cu: 0.115 0.885 0.730
Cu: 0.267 0.733 0.879
Cu: 0.458 0.542 0.721
Cu: 0.542 0.458 0.221
Cu: 0.733 0.267 0.379
Cu: 0.885 0.115 0.230



Diffraction record for Ac3Tl2Hg6. The powder diffraction line list is simulated, not measured: it uses a cell relaxed with PBE and Cu Kα (weighted mean of Kα1 and Kα2).

Main lines, in order of rising 2θ (2θ from 15° to 90°):
2θ 28.78, d 3.102, intensity 74
2θ 32.21, d 2.779, intensity 87
2θ 34.39, d 2.608, intensity 100
2θ 34.97, d 2.566, intensity 54
2θ 40.48, d 2.228, intensity 80
2θ 54.14, d 1.694, intensity 56

Crystal structure
Unit cell a=17.964 b=17.964 c=17.964 alpha=165.75 beta=165.75 gamma=20.21
Fractional positions:
Ac: 0.000 0.000 0.000
Ac: 0.177 0.177 0.000
Ac: 0.823 0.823 0.000
Tl: 0.364 0.364 0.000
Tl: 0.636 0.636 0.000
Hg: 0.072 0.572 0.500
Hg: 0.272 0.272 0.000
Hg: 0.428 0.928 0.500
Hg: 0.572 0.072 0.500
Hg: 0.728 0.728 0.000
Hg: 0.928 0.428 0.500



Diffraction record for Fe5CoPt2. The powder diffraction line list is simulated, not measured: it uses a cell relaxed with PBE and Cu Kα (weighted mean of Kα1 and Kα2).

Main lines, in order of rising 2θ (2θ from 15° to 90°):
2θ 23.65, d 3.763, intensity 27
2θ 34.11, d 2.629, intensity 22
2θ 41.92, d 2.155, intensity 100
2θ 48.38, d 1.881, intensity 33
2θ 71.82, d 1.314, intensity 19
2θ 85.85, d 1.132, intensity 24

Crystal structure
Unit cell a=5.321 b=5.321 c=7.349 alpha=90.00 beta=90.00 gamma=90.00
Fractional positions:
Fe: 0.000 0.000 0.000
Fe: 0.250 0.250 0.250
Fe: 0.250 0.250 0.750
Fe: 0.250 0.750 0.250
Fe: 0.250 0.750 0.750
Fe: 0.500 0.500 0.500
Fe: 0.750 0.250 0.250
Fe: 0.750 0.250 0.750
Fe: 0.750 0.750 0.250
Fe: 0.750 0.750 0.750
Co: 0.000 0.000 0.500
Co: 0.500 0.500 0.000
Pt: 0.000 0.500 0.000
Pt: 0.000 0.500 0.500
Pt: 0.500 0.000 0.000
Pt: 0.500 0.000 0.500



Diffraction record for PmPr2Er4Tm. The powder diffraction line list is simulated, not measured: it uses a cell relaxed with PBE and Cu Kα (weighted mean of Kα1 and Kα2).

Main lines, in order of rising 2θ (2θ from 15° to 90°):
2θ 26.94, d 3.310, intensity 67
2θ 30.16, d 2.963, intensity 50
2θ 30.34, d 2.946, intensity 100
2θ 40.88, d 2.208, intensity 44
2θ 41.02, d 2.200, intensity 88
2θ 61.07, d 1.517, intensity 27

Crystal structure
Unit cell a=9.512 b=9.512 c=9.512 alpha=138.18 beta=102.92 gamma=91.78
Fractional positions:
Pm: 0.000 0.000 0.000
Pm: 0.500 0.000 0.500
Pr: 0.000 0.500 0.500
Pr: 0.500 0.000 0.000
Pr: 0.500 0.500 0.000
Pr: 0.500 0.500 0.500
Er: 0.243 0.243 0.500
Er: 0.243 0.744 0.000
Er: 0.244 0.250 0.994
Er: 0.244 0.750 0.494
Er: 0.756 0.250 0.506
Er: 0.756 0.750 0.006
Er: 0.757 0.256 0.000
Er: 0.757 0.757 0.500
Tm: 0.000 0.000 0.500
Tm: 0.000 0.500 0.000



Diffraction record for Zn2CuOsO6. The powder diffraction line list is simulated, not measured: it uses a cell relaxed with PBE and Cu Kα (weighted mean of Kα1 and Kα2).

Main lines, in order of rising 2θ (2θ from 15° to 90°):
2θ 20.10, d 4.419, intensity 32
2θ 31.85, d 2.810, intensity 100
2θ 35.51, d 2.528, intensity 23
2θ 51.09, d 1.788, intensity 18
2θ 54.28, d 1.690, intensity 23
2θ 61.48, d 1.508, intensity 30

Crystal structure
Unit cell a=5.056 b=5.056 c=9.088 alpha=90.00 beta=90.00 gamma=90.00
Fractional positions:
Zn: 0.000 0.500 0.250
Zn: 0.000 0.500 0.750
Zn: 0.500 0.000 0.250
Zn: 0.500 0.000 0.750
Cu: 0.000 0.000 0.000
Cu: 0.500 0.500 0.500
Os: 0.000 0.000 0.500
Os: 0.500 0.500 0.000
O: 0.198 0.198 0.349
O: 0.198 0.198 0.651
O: 0.245 0.245 0.000
O: 0.255 0.745 0.500
O: 0.302 0.698 0.151
O: 0.302 0.698 0.849
O: 0.698 0.302 0.151
O: 0.698 0.302 0.849
O: 0.745 0.255 0.500
O: 0.755 0.755 0.000
O: 0.802 0.802 0.349
O: 0.802 0.802 0.651



Diffraction record for PaBiPdRu. The powder diffraction line list is simulated, not measured: it uses a cell relaxed with PBE and Cu Kα (weighted mean of Kα1 and Kα2).

Main lines, in order of rising 2θ (2θ from 15° to 90°):
2θ 25.77, d 3.457, intensity 14
2θ 36.77, d 2.444, intensity 100
2θ 52.98, d 1.728, intensity 18
2θ 66.23, d 1.411, intensity 36
2θ 78.22, d 1.222, intensity 11
2θ 89.71, d 1.093, intensity 17

Crystal structure
Unit cell a=6.913 b=6.913 c=6.913 alpha=90.00 beta=90.00 gamma=90.00
Fractional positions:
Pa: 0.000 0.000 0.000
Pa: 0.000 0.500 0.500
Pa: 0.500 0.000 0.500
Pa: 0.500 0.500 0.000
Bi: 0.000 0.000 0.500
Bi: 0.000 0.500 0.000
Bi: 0.500 0.000 0.000
Bi: 0.500 0.500 0.500
Pd: 0.250 0.250 0.250
Pd: 0.250 0.750 0.750
Pd: 0.750 0.250 0.750
Pd: 0.750 0.750 0.250
Ru: 0.250 0.250 0.750
Ru: 0.250 0.750 0.250
Ru: 0.750 0.250 0.250
Ru: 0.750 0.750 0.750



Diffraction record for SiAs2Ru. The powder diffraction line list is simulated, not measured: it uses a cell relaxed with PBE and Cu Kα (weighted mean of Kα1 and Kα2).

Main lines, in order of rising 2θ (2θ from 15° to 90°):
2θ 27.34, d 3.262, intensity 78
2θ 32.90, d 2.722, intensity 84
2θ 35.74, d 2.512, intensity 48
2θ 39.64, d 2.273, intensity 38
2θ 41.11, d 2.196, intensity 79
2θ 47.40, d 1.918, intensity 100

Crystal structure
Unit cell a=3.715 b=2.969 c=6.820 alpha=90.00 beta=90.13 gamma=90.00
Fractional positions:
Si: 0.000 0.000 0.000
As: 0.502 0.000 0.244
As: 0.998 0.500 0.644
Ru: 0.499 0.500 0.919